Record 1
Diffraction record for Mg15Zr. The X-ray powder pattern is computed, not measured: it uses DFT lattice parameters and positions (GGA-PBE) and Cu Ka.
Kinematic intensities with the Lorentz-polarization factor, no thermal factor.

Crystal structure
```
data_Mg15Zr
_chemical_formula_sum 'Mg15 Zr1'
_cell_length_a 6.4380
_cell_length_b 6.4380
_cell_length_c 10.1499
_cell_angle_alpha 90.00
_cell_angle_beta 90.00
_cell_angle_gamma 120.00
_space_group_name_H-M_alt 'P -6 m 2'
_space_group_IT_number 187
_space_group_name_Hall 'P -6 2'
loop_
_atom_site_label
_atom_site_type_symbol
_atom_site_fract_x
_atom_site_fract_y
_atom_site_fract_z
Mg1 Mg 0.0000 0.0000 0.0000
Mg2 Mg 0.9996 0.4998 0.0000
Mg3 Mg 0.0046 0.5023 0.5000
Mg4 Mg 0.1643 0.3287 0.2517
Mg5 Mg 0.6667 0.3333 0.2520
Zr1 Zr 0.0000 0.0000 0.5000
```

Main lines, by angle (5 to 70 degrees two-theta):
| 2θ/deg | d [Å] | I_rel |
| --- | --- | --- |
| 8.7 | 10.150 | 138 |
| 18.2 | 4.887 | 158 |
| 32.1 | 2.788 | 256 |
| 35.4 | 2.537 | 247 |
| 36.8 | 2.443 | 1000 |
| 48.5 | 1.877 | 155 |
| 57.2 | 1.609 | 174 |
| 64.4 | 1.446 | 180 |
| 69.1 | 1.359 | 191 |
| 70.0 | 1.344 | 138 |


Record 2
Diffraction record for MgZr2. The X-ray powder pattern is computed, not measured: it uses DFT lattice parameters and positions (GGA-PBE) and Cu Ka.
Kinematic intensities with the Lorentz-polarization factor, no thermal factor.

Crystal structure
```
data_MgZr2
_chemical_formula_sum 'Mg3 Zr6'
_cell_length_a 3.2370
_cell_length_b 3.2370
_cell_length_c 23.3644
_cell_angle_alpha 90.00
_cell_angle_beta 90.00
_cell_angle_gamma 120.00
_space_group_name_H-M_alt 'R -3 m'
_space_group_IT_number 166
_space_group_name_Hall '-R 3 2"'
loop_
_atom_site_label
_atom_site_type_symbol
_atom_site_fract_x
_atom_site_fract_y
_atom_site_fract_z
Mg1 Mg 0.0000 0.0000 0.0000
Zr1 Zr 0.0000 0.0000 0.2195
```

Main lines, by angle (5 to 70 degrees two-theta):
| 2θ/deg | d [Å] | I_rel |
| --- | --- | --- |
| 11.4 | 7.788 | 1000 |
| 32.9 | 2.726 | 913 |
| 34.6 | 2.596 | 541 |
| 35.5 | 2.527 | 872 |
| 37.4 | 2.404 | 936 |
| 42.1 | 2.147 | 508 |
| 54.2 | 1.693 | 177 |
| 56.9 | 1.618 | 378 |
| 65.0 | 1.434 | 205 |
| 68.3 | 1.373 | 418 |


Record 3
Diffraction record for MnMoN2. The X-ray powder pattern is computed, not measured: it uses DFT lattice parameters and positions (GGA-PBE) and Cu Ka.
Kinematic intensities with the Lorentz-polarization factor, no thermal factor.

Crystal structure
```
data_MnMoN2
_chemical_formula_sum 'Mn2 Mo2 N4'
_cell_length_a 2.8645
_cell_length_b 2.8645
_cell_length_c 10.6846
_cell_angle_alpha 90.00
_cell_angle_beta 90.00
_cell_angle_gamma 120.00
_space_group_name_H-M_alt 'P 63/m m c'
_space_group_IT_number 194
_space_group_name_Hall '-P 6c 2c'
loop_
_atom_site_label
_atom_site_type_symbol
_atom_site_fract_x
_atom_site_fract_y
_atom_site_fract_z
Mn1 Mn 0.0000 0.0000 0.0000
Mo1 Mo 0.0000 0.0000 0.2500
N1 N 0.3333 0.6667 0.1214
```

Main lines, by angle (5 to 70 degrees two-theta):
| 2θ/deg | d [Å] | I_rel |
| --- | --- | --- |
| 16.6 | 5.342 | 178 |
| 33.5 | 2.671 | 322 |
| 36.2 | 2.481 | 961 |
| 37.2 | 2.416 | 23 |
| 40.1 | 2.250 | 132 |
| 44.5 | 2.036 | 14 |
| 50.2 | 1.818 | 1000 |
| 64.4 | 1.447 | 32 |
| 65.1 | 1.432 | 244 |
| 67.7 | 1.383 | 29 |


Record 4
Diffraction record for Mn2MoP12. The X-ray powder pattern is computed, not measured: it uses DFT lattice parameters and positions (GGA-PBE) and Cu Ka.
Kinematic intensities with the Lorentz-polarization factor, no thermal factor.

Crystal structure
```
data_Mn2MoP12
_chemical_formula_sum 'Mn8 Mo4 P48'
_cell_length_a 16.001
_cell_length_b 5.737
_cell_length_c 10.587
_cell_angle_alpha 90.00
_cell_angle_beta 115.89
_cell_angle_gamma 90.00
_space_group_name_H-M_alt 'C 1 2/c 1'
_space_group_IT_number 15
_space_group_name_Hall '-C 2yc'
loop_
_atom_site_label
_atom_site_type_symbol
_atom_site_fract_x
_atom_site_fract_y
_atom_site_fract_z
Mn1 Mn 0.180 0.192 0.046
Mo1 Mo 0.000 0.305 0.250
P1 P 0.033 0.044 0.926
P2 P 0.061 0.360 0.666
P3 P 0.116 0.449 0.503
P4 P 0.152 0.177 0.240
P5 P 0.178 0.175 0.835
P6 P 0.227 0.176 0.576
```

Main lines, by angle (5 to 70 degrees two-theta):
| 2θ/deg | d [Å] | I_rel |
| --- | --- | --- |
| 20.4 | 4.360 | 823 |
| 26.6 | 3.355 | 527 |
| 30.4 | 2.942 | 712 |
| 32.3 | 2.771 | 727 |
| 33.4 | 2.681 | 423 |
| 34.9 | 2.569 | 1000 |
| 35.5 | 2.531 | 498 |
| 51.4 | 1.776 | 750 |
| 51.6 | 1.771 | 409 |
| 51.9 | 1.761 | 641 |